(1)
Simulated powder diffraction line list
Compound: La2Ce3YBi6
Radiation: Cu Ka
Structure: a cell relaxed with GGA-PBE
Neutral-atom scattering factors, no anomalous dispersion.

Atomic structure:
a = 7.9989 Å, b = 13.8573 Å, c = 8.0081 Å
α = 90.00°, β = 109.49°, γ = 90.00°
Space group C2/m (No. 12)
Asymmetric unit:
La: 0.0000 0.1656 0.0000 (multiplicity 4)
Ce: 0.0000 0.0000 0.5000 (multiplicity 2)
Ce: 0.0000 0.3307 0.5000 (multiplicity 4)
Y: 0.0000 0.5000 0.0000 (multiplicity 2)
Bi: 0.2413 0.5000 0.7454 (multiplicity 4)
Bi: 0.2468 0.3366 0.2513 (multiplicity 8)

Largest 10 diffraction maxima, sorted by position, 10° ≤ 2θ ≤ 80°:
2θ/deg, Rel. int., (hkl)
23.58, 9, 0 0 2
27.30, 100, 1 3 1
38.99, 78, 1 3 -3
46.06, 3, 2 0 -4
46.09, 2, 2 6 0
48.25, 29, 0 0 4
56.32, 14, 4 0 -4
61.90, 2, 1 3 -5
63.70, 37, 3 3 -5
70.62, 28, 2 0 -6

=====

(2)
Simulated powder diffraction line list
Compound: HoSc5Sn6
Radiation: Cu Ka
Structure: a cell relaxed with GGA-PBE
Neutral-atom scattering factors, no anomalous dispersion.

Atomic structure:
a = 5.4062 Å, b = 13.3005 Å, c = 8.2977 Å
α = 90.00°, β = 101.98°, γ = 90.00°
Space group C2/m (No. 12)
Asymmetric unit:
Ho: 0.0000 0.0000 0.0000 (multiplicity 2)
Sc: 0.0000 0.0000 0.5000 (multiplicity 2)
Sc: 0.0000 0.3293 0.0000 (multiplicity 4)
Sc: 0.0000 0.3381 0.5000 (multiplicity 4)
Sn: 0.0046 0.1700 0.7428 (multiplicity 8)
Sn: 0.0184 0.5000 0.2479 (multiplicity 4)

Largest 10 diffraction maxima, sorted by position, 10° ≤ 2θ ≤ 80°:
2θ/deg, Rel. int., (hkl)
26.23, 15, 1 3 0
32.02, 100, 1 3 -2
33.90, 43, 2 0 0
36.69, 70, 1 3 2
40.70, 26, 0 6 0
44.65, 22, 0 0 4
50.71, 13, 2 0 -4
53.98, 23, 2 6 0
56.37, 19, 3 3 -2
62.00, 17, 0 6 4